# 1
For ReNO4, a GGA-PBE-relaxed structure gives the computed powder XRD pattern in this record (Cu Kα, 1.54184 Å).
Lines closer than 0.1° are merged.

Top 12 peaks for 2θ = 15–90°, in order of falling intensity:
2theta, intensity
23.84, 100
15.52, 83
47.77, 21
32.63, 20
38.70, 19
28.52, 16
45.98, 11
37.52, 11
61.60, 11
25.61, 11
44.08, 11
48.77, 9

Crystal structure
Lattice parameters (Å, degrees): 8.2459 8.2459 8.2459 135.38 135.38 64.93
Sites, in units of the cell vectors:
Re  0.3750  0.1250  0.2500
Re  0.6250  0.8750  0.7500
N  0.1250  0.3750  0.7500
N  0.8750  0.6250  0.2500
O  0.1943  0.2540  0.3442
O  0.2460  0.0903  0.9403
O  0.3501  0.6943  0.4403
O  0.4097  0.8501  0.1558
O  0.5903  0.1499  0.8442
O  0.6499  0.3057  0.5597
O  0.7540  0.9097  0.0597
O  0.8057  0.7460  0.6558

# 2
For Sr4CaYGa2Cu4O14, a GGA-PBE-relaxed structure gives the computed powder XRD pattern in this record (Cu Kα, 1.54184 Å).
Lines closer than 0.1° are merged.

Top 12 peaks for 2θ = 15–90°, in order of falling intensity:
2theta, intensity
32.79, 100
47.19, 34
33.21, 31
32.55, 29
58.24, 22
38.83, 20
59.07, 18
46.92, 8
27.79, 8
68.74, 8
38.75, 7
78.47, 6

Crystal structure
Lattice parameters (Å, degrees): 12.2385 12.2385 5.5018 102.93 102.93 25.47
Sites, in units of the cell vectors:
Sr  0.1503  0.1503  0.1359
Sr  0.3489  0.3484  0.3343
Sr  0.6516  0.6511  0.6657
Sr  0.8497  0.8497  0.8641
Ca  0.9979  0.0021  0.0000
Y  0.4980  0.5020  0.5000
Ga  0.2936  0.2065  0.6816
Ga  0.7935  0.7064  0.3184
Cu  0.0712  0.0755  0.5726
Cu  0.4245  0.4289  0.9264
Cu  0.5711  0.5755  0.0736
Cu  0.9245  0.9288  0.4274
O  0.1458  0.3533  0.3651
O  0.1582  0.1942  0.7203
O  0.1863  0.6799  0.6774
O  0.1900  0.6842  0.1927
O  0.3051  0.3424  0.8667
O  0.3158  0.8100  0.8073
O  0.3201  0.8137  0.3226
O  0.6467  0.8542  0.6349
O  0.6576  0.6949  0.1333
O  0.6760  0.1902  0.6777
O  0.6813  0.1930  0.1913
O  0.8058  0.8418  0.2797
O  0.8070  0.3187  0.8087
O  0.8098  0.3240  0.3223

# 3
For Ba4Cu3Si20, a GGA-PBE-relaxed structure gives the computed powder XRD pattern in this record (Cu Kα, 1.54184 Å).
Lines closer than 0.1° are merged.

Top 12 peaks for 2θ = 15–90°, in order of falling intensity:
2theta, intensity
32.33, 100
54.61, 38
29.88, 33
21.01, 32
34.63, 27
31.13, 22
53.04, 17
49.79, 14
66.30, 14
38.88, 14
17.12, 13
71.74, 13

Crystal structure
Lattice parameters (Å, degrees): 10.3595 10.3595 10.3595 90.00 90.00 90.00
Sites, in units of the cell vectors:
Ba  0.0000  0.0000  0.0000
Ba  0.0000  0.2500  0.5000
Ba  0.0000  0.7500  0.5000
Ba  0.2500  0.5000  0.0000
Ba  0.5000  0.0000  0.2500
Ba  0.5000  0.0000  0.7500
Ba  0.5000  0.5000  0.5000
Ba  0.7500  0.5000  0.0000
Cu  0.0000  0.5000  0.2500
Cu  0.0000  0.5000  0.7500
Cu  0.2500  0.0000  0.5000
Cu  0.5000  0.2500  0.0000
Cu  0.5000  0.7500  0.0000
Cu  0.7500  0.0000  0.5000
Si  0.0000  0.3110  0.1193
Si  0.0000  0.3110  0.8807
Si  0.0000  0.6890  0.1193
Si  0.0000  0.6890  0.8807
Si  0.1193  0.0000  0.3110
Si  0.1193  0.0000  0.6890
Si  0.1837  0.1837  0.1837
Si  0.1837  0.1837  0.8163
Si  0.1837  0.8163  0.1837
Si  0.1837  0.8163  0.8163
Si  0.1890  0.5000  0.3807
Si  0.1890  0.5000  0.6193
Si  0.3110  0.1193  0.0000
Si  0.3110  0.8807  0.0000
Si  0.3163  0.3163  0.3163
Si  0.3163  0.3163  0.6837
Si  0.3163  0.6837  0.3163
Si  0.3163  0.6837  0.6837
Si  0.3807  0.1890  0.5000
Si  0.3807  0.8110  0.5000
Si  0.5000  0.3807  0.1890
Si  0.5000  0.3807  0.8110
Si  0.5000  0.6193  0.1890
Si  0.5000  0.6193  0.8110
Si  0.6193  0.1890  0.5000
Si  0.6193  0.8110  0.5000
Si  0.6837  0.3163  0.3163
Si  0.6837  0.3163  0.6837
Si  0.6837  0.6837  0.3163
Si  0.6837  0.6837  0.6837
Si  0.6890  0.1193  0.0000
Si  0.6890  0.8807  0.0000
Si  0.8110  0.5000  0.3807
Si  0.8110  0.5000  0.6193
Si  0.8163  0.1837  0.1837
Si  0.8163  0.1837  0.8163
Si  0.8163  0.8163  0.1837
Si  0.8163  0.8163  0.8163
Si  0.8807  0.0000  0.3110
Si  0.8807  0.0000  0.6890

# 4
For AlSeBr7, a GGA-PBE-relaxed structure gives the computed powder XRD pattern in this record (Cu Kα, 1.54184 Å).
Lines closer than 0.1° are merged.

Top 12 peaks for 2θ = 15–90°, in order of falling intensity:
2theta, intensity
23.77, 100
28.14, 90
28.27, 88
15.13, 87
26.83, 81
32.47, 73
17.70, 56
36.49, 55
27.55, 52
18.32, 40
46.53, 38
44.36, 34

Crystal structure
Lattice parameters (Å, degrees): 7.1242 6.8214 15.2987 90.00 105.22 90.00
Sites, in units of the cell vectors:
Al  0.0000  0.0017  0.0000
Al  0.0000  0.9983  0.5000
Se  0.7015  0.4026  0.8407
Se  0.7015  0.5974  0.3407
Br  0.0216  0.3368  0.5032
Br  0.0216  0.6632  0.0032
Br  0.0586  0.1289  0.8671
Br  0.0586  0.8711  0.3671
Br  0.2232  0.1297  0.1270
Br  0.2232  0.8703  0.6270
Br  0.4559  0.3981  0.3734
Br  0.4559  0.6019  0.8734
Br  0.4966  0.1796  0.7380
Br  0.4966  0.8204  0.2380
Br  0.6913  0.1212  0.0002
Br  0.6913  0.8788  0.5002
Br  0.8041  0.3992  0.2348
Br  0.8041  0.6008  0.7348